Record 1
Starting from a PBE+U-relaxed structure, the X-ray diffraction stick pattern of NiTe4O12 was simulated for a wavelength of 1.5418 Å.
Peak positions follow from Bragg's law for the DFT cell and can differ from measured ones.

Structure:
Unit cell a=5.1377 b=5.5765 c=7.6366 alpha=84.93 beta=89.71 gamma=89.50
Element x y z (fractional)
Ni  0.0000  0.0000  0.0000
Te  0.0099  0.3911  0.6949
Te  0.0218  0.4042  0.2202
Te  0.5000  0.8785  0.6980
Te  0.5110  0.8773  0.2140
O  0.1191  0.3444  0.9326
O  0.1834  0.0297  0.2404
O  0.2012  0.6888  0.6284
O  0.3065  0.1786  0.6230
O  0.3611  0.5617  0.2663
O  0.3636  0.8609  0.9434
O  0.6381  0.8923  0.4550
O  0.6936  0.1595  0.1278
O  0.7024  0.5818  0.7674
O  0.8101  0.0677  0.7626
O  0.8223  0.7096  0.1301
O  0.8746  0.3982  0.4620

Main lines, by intensity (2θ = 10–90°):
Position (°2θ)	I/Imax
23.69	100
23.49	99
23.39	97
32.26	93
34.48	70
32.54	46


Record 2
Starting from a PBE+U-relaxed structure, the X-ray diffraction stick pattern of NiTe6O13 was simulated for a wavelength of 1.5418 Å.
Peak positions follow from Bragg's law for the DFT cell and can differ from measured ones.

Structure:
Unit cell a=8.7540 b=8.7540 c=8.7540 alpha=72.12 beta=72.12 gamma=72.12
Element x y z (fractional)
Ni  0.2431  0.2431  0.2431
Ni  0.7569  0.7569  0.7569
Te  0.0291  0.9217  0.3239
Te  0.0783  0.6761  0.9709
Te  0.1669  0.4884  0.5596
Te  0.3239  0.0291  0.9217
Te  0.4404  0.8331  0.5116
Te  0.4884  0.5596  0.1669
Te  0.5116  0.4404  0.8331
Te  0.5596  0.1669  0.4884
Te  0.6761  0.9709  0.0783
Te  0.8331  0.5116  0.4404
Te  0.9217  0.3239  0.0291
Te  0.9709  0.0783  0.6761
O  0.0490  0.3813  0.1339
O  0.1028  0.4172  0.3994
O  0.1158  0.8762  0.8012
O  0.1238  0.1988  0.8842
O  0.1339  0.0490  0.3813
O  0.1979  0.7016  0.4456
O  0.1988  0.8842  0.1238
O  0.2984  0.5544  0.8021
O  0.3813  0.1339  0.0490
O  0.3994  0.1028  0.4172
O  0.4137  0.4137  0.4137
O  0.4172  0.3994  0.1028
O  0.4456  0.1979  0.7016
O  0.5544  0.8021  0.2984
O  0.5828  0.6006  0.8972
O  0.5863  0.5863  0.5863
O  0.6006  0.8972  0.5828
O  0.6187  0.8661  0.9510
O  0.7016  0.4456  0.1979
O  0.8012  0.1158  0.8762
O  0.8021  0.2984  0.5544
O  0.8661  0.9510  0.6187
O  0.8762  0.8012  0.1158
O  0.8842  0.1238  0.1988
O  0.8972  0.5828  0.6006
O  0.9510  0.6187  0.8661

Main lines, by intensity (2θ = 10–90°):
Position (°2θ)	I/Imax
28.03	100
32.40	50
27.79	37
46.33	24
46.64	24
55.16	24


Record 3
Starting from a PBE+U-relaxed structure, the X-ray diffraction stick pattern of NiTeO3 was simulated for a wavelength of 1.5418 Å.
Peak positions follow from Bragg's law for the DFT cell and can differ from measured ones.

Structure:
Unit cell a=5.6190 b=8.1549 c=5.4866 alpha=90.00 beta=90.00 gamma=90.00
Element x y z (fractional)
Ni  0.0297  0.2500  0.0058
Ni  0.4703  0.7500  0.5058
Ni  0.5297  0.2500  0.4942
Ni  0.9703  0.7500  0.9942
Te  0.0000  0.0000  0.5000
Te  0.0000  0.5000  0.5000
Te  0.5000  0.0000  0.0000
Te  0.5000  0.5000  0.0000
O  0.1096  0.7500  0.6489
O  0.1694  0.5793  0.1632
O  0.1694  0.9207  0.1632
O  0.3306  0.0793  0.6632
O  0.3306  0.4207  0.6632
O  0.3904  0.2500  0.1489
O  0.6096  0.7500  0.8511
O  0.6694  0.5793  0.3368
O  0.6694  0.9207  0.3368
O  0.8306  0.0793  0.8368
O  0.8306  0.4207  0.8368
O  0.8904  0.2500  0.3511

Main lines, by intensity (2θ = 10–90°):
Position (°2θ)	I/Imax
31.64	100
57.62	24
31.85	23
56.62	22
32.64	21
46.25	20


Record 4
Starting from a PBE+U-relaxed structure, the X-ray diffraction stick pattern of NiTeO3 was simulated for a wavelength of 1.5418 Å.
Peak positions follow from Bragg's law for the DFT cell and can differ from measured ones.

Structure:
Unit cell a=5.9993 b=7.5823 c=5.2669 alpha=90.00 beta=90.00 gamma=90.00
Element x y z (fractional)
Ni  0.0000  0.0000  0.0000
Ni  0.0000  0.5000  0.0000
Ni  0.5000  0.0000  0.5000
Ni  0.5000  0.5000  0.5000
Te  0.0145  0.2500  0.4852
Te  0.4855  0.7500  0.9852
Te  0.5145  0.2500  0.0148
Te  0.9855  0.7500  0.5148
O  0.0609  0.7500  0.1573
O  0.1829  0.5642  0.6450
O  0.1829  0.9358  0.6450
O  0.3171  0.0642  0.1450
O  0.3171  0.4358  0.1450
O  0.4391  0.2500  0.6573
O  0.5609  0.7500  0.3427
O  0.6829  0.5642  0.8550
O  0.6829  0.9358  0.8550
O  0.8171  0.0642  0.3550
O  0.8171  0.4358  0.3550
O  0.9391  0.2500  0.8427

Main lines, by intensity (2θ = 10–90°):
Position (°2θ)	I/Imax
32.71	100
29.78	33
60.11	32
54.74	27
34.04	22
45.85	22


Record 5
Starting from a PBE+U-relaxed structure, the X-ray diffraction stick pattern of Ni5Te3O18 was simulated for a wavelength of 1.5418 Å.
Peak positions follow from Bragg's law for the DFT cell and can differ from measured ones.

Structure:
Unit cell a=8.2455 b=8.2455 c=10.3150 alpha=95.25 beta=95.25 gamma=62.61
Element x y z (fractional)
Ni  0.0014  0.3144  0.7760
Ni  0.1657  0.5201  0.9631
Ni  0.1686  0.8314  0.7500
Ni  0.3144  0.0014  0.2760
Ni  0.4799  0.8343  0.5369
Ni  0.5201  0.1657  0.4631
Ni  0.6856  0.9986  0.7240
Ni  0.8314  0.1686  0.2500
Ni  0.8343  0.4799  0.0369
Ni  0.9986  0.6856  0.2240
Te  0.0000  0.0000  0.0000
Te  0.0000  0.0000  0.5000
Te  0.3271  0.3476  0.7088
Te  0.3476  0.3271  0.2088
Te  0.6524  0.6729  0.7912
Te  0.6729  0.6524  0.2912
O  0.0684  0.7569  0.0632
O  0.0748  0.0764  0.1746
O  0.0764  0.0748  0.6746
O  0.0873  0.3898  0.6372
O  0.0882  0.4500  0.1183
O  0.0927  0.7721  0.5825
O  0.2279  0.9073  0.9175
O  0.2375  0.2759  0.8566
O  0.2431  0.9316  0.4368
O  0.2446  0.5728  0.2952
O  0.2501  0.5790  0.8104
O  0.2759  0.2375  0.3566
O  0.3898  0.0873  0.1372
O  0.4041  0.4056  0.5572
O  0.4056  0.4041  0.0572
O  0.4210  0.7499  0.6896
O  0.4272  0.7554  0.2048
O  0.4500  0.0882  0.6183
O  0.5500  0.9118  0.3817
O  0.5728  0.2446  0.7952
O  0.5790  0.2501  0.3104
O  0.5944  0.5959  0.9428
O  0.5959  0.5944  0.4428
O  0.6102  0.9127  0.8628
O  0.7241  0.7625  0.6434
O  0.7499  0.4210  0.1896
O  0.7554  0.4272  0.7048
O  0.7569  0.0684  0.5632
O  0.7625  0.7241  0.1434
O  0.7721  0.0927  0.0825
O  0.9073  0.2279  0.4175
O  0.9118  0.5500  0.8817
O  0.9127  0.6102  0.3628
O  0.9236  0.9252  0.3254
O  0.9252  0.9236  0.8254
O  0.9316  0.2431  0.9368

Main lines, by intensity (2θ = 10–90°):
Position (°2θ)	I/Imax
21.68	100
36.21	56
30.83	35
22.55	34
20.59	27
50.21	27